Record 1
Diffraction record for Cs2ZnAgC5S5N5. The PXRD pattern is theoretical, not measured: it uses a crystal structure in OQMD, relaxed with PBE and a wavelength of 1.5418 Å.
Intensities are scaled so that the largest is 100.

Atomic structure:
```
data_Cs2ZnAgC5S5N5
_symmetry_space_group_name_H-M 'P 1'
_symmetry_Int_Tables_number 1
_cell_length_a 10.854
_cell_length_b 5.913
_cell_length_c 13.336
_cell_angle_alpha 90.00
_cell_angle_beta 90.00
_cell_angle_gamma 90.00
loop_
_symmetry_equiv_pos_as_xyz
'x,y,z'
loop_
_atom_site_label
_atom_site_fract_x
_atom_site_fract_y
_atom_site_fract_z
_atom_site_occupancy
Cs1 0.232 0.007 0.000 1
Cs2 0.268 0.993 0.500 1
Cs3 0.732 0.993 0.500 1
Cs4 0.768 0.007 0.000 1
Zn1 0.000 0.986 0.261 1
Zn2 0.500 0.014 0.761 1
Ag1 0.000 0.477 0.679 1
Ag2 0.500 0.523 0.179 1
C1 0.000 0.017 0.782 1
C2 0.000 0.351 0.093 1
C3 0.000 0.356 0.425 1
C4 0.210 0.628 0.258 1
C5 0.290 0.372 0.758 1
C6 0.500 0.644 0.925 1
C7 0.500 0.649 0.593 1
C8 0.500 0.983 0.282 1
C9 0.710 0.372 0.758 1
C10 0.790 0.628 0.258 1
S1 0.000 0.040 0.660 1
S2 0.000 0.553 0.012 1
S3 0.000 0.591 0.488 1
S4 0.206 0.598 0.759 1
S5 0.294 0.402 0.259 1
S6 0.500 0.409 0.988 1
S7 0.500 0.447 0.512 1
S8 0.500 0.960 0.160 1
S9 0.706 0.402 0.259 1
S10 0.794 0.598 0.759 1
N1 0.000 0.179 0.383 1
N2 0.000 0.190 0.147 1
N3 0.000 0.999 0.871 1
N4 0.148 0.793 0.260 1
N5 0.352 0.207 0.760 1
N6 0.500 0.001 0.371 1
N7 0.500 0.810 0.647 1
N8 0.500 0.821 0.883 1
N9 0.648 0.207 0.760 1
N10 0.852 0.793 0.260 1
```

The 6 most intense peaks (10 to 90 degrees two-theta), in order of rising 2θ:
- 2θ = 18.33°, I 28
- 2θ = 20.07°, I 31
- 2θ = 21.11°, I 35
- 2θ = 25.98°, I 100
- 2θ = 33.01°, I 28
- 2θ = 37.16°, I 30


Record 2
Diffraction record for CsZnAgC4S4N4. The PXRD pattern is theoretical, not measured: it uses a crystal structure in OQMD, relaxed with PBE and a wavelength of 1.5418 Å.
Intensities are scaled so that the largest is 100.

Atomic structure:
```
data_CsZnAgC4S4N4
_symmetry_space_group_name_H-M 'P 1'
_symmetry_Int_Tables_number 1
_cell_length_a 9.020
_cell_length_b 16.687
_cell_length_c 11.780
_cell_angle_alpha 90.00
_cell_angle_beta 130.68
_cell_angle_gamma 90.00
loop_
_symmetry_equiv_pos_as_xyz
'x,y,z'
loop_
_atom_site_label
_atom_site_fract_x
_atom_site_fract_y
_atom_site_fract_z
_atom_site_occupancy
Cs1 0.244 0.124 0.354 1
Cs2 0.244 0.376 0.854 1
Cs3 0.756 0.624 0.146 1
Cs4 0.756 0.876 0.646 1
Zn1 0.195 0.052 0.787 1
Zn2 0.195 0.448 0.287 1
Zn3 0.805 0.552 0.713 1
Zn4 0.805 0.948 0.213 1
Ag1 0.236 0.740 0.660 1
Ag2 0.236 0.760 0.160 1
Ag3 0.764 0.240 0.840 1
Ag4 0.764 0.260 0.340 1
C1 0.182 0.181 0.972 1
C2 0.182 0.319 0.472 1
C3 0.208 0.590 0.023 1
C4 0.208 0.910 0.523 1
C5 0.245 0.626 0.384 1
C6 0.245 0.874 0.884 1
C7 0.491 0.582 0.743 1
C8 0.491 0.918 0.243 1
C9 0.509 0.082 0.757 1
C10 0.509 0.418 0.257 1
C11 0.755 0.126 0.116 1
C12 0.755 0.374 0.616 1
C13 0.792 0.090 0.477 1
C14 0.792 0.410 0.977 1
C15 0.818 0.681 0.528 1
C16 0.818 0.819 0.028 1
S1 0.147 0.249 0.051 1
S2 0.147 0.251 0.551 1
S3 0.265 0.721 0.412 1
S4 0.265 0.779 0.912 1
S5 0.319 0.594 0.752 1
S6 0.319 0.906 0.252 1
S7 0.395 0.629 0.180 1
S8 0.395 0.871 0.680 1
S9 0.605 0.129 0.320 1
S10 0.605 0.371 0.820 1
S11 0.681 0.094 0.748 1
S12 0.681 0.406 0.248 1
S13 0.735 0.221 0.088 1
S14 0.735 0.279 0.588 1
S15 0.853 0.749 0.449 1
S16 0.853 0.751 0.949 1
N1 0.073 0.560 0.909 1
N2 0.073 0.940 0.409 1
N3 0.211 0.133 0.915 1
N4 0.211 0.367 0.415 1
N5 0.221 0.556 0.361 1
N6 0.221 0.944 0.861 1
N7 0.382 0.074 0.760 1
N8 0.382 0.426 0.260 1
N9 0.618 0.574 0.740 1
N10 0.618 0.926 0.240 1
N11 0.779 0.056 0.139 1
N12 0.779 0.444 0.639 1
N13 0.789 0.633 0.585 1
N14 0.789 0.867 0.085 1
N15 0.927 0.060 0.591 1
N16 0.927 0.440 0.091 1
```

The 6 most intense peaks (10 to 90 degrees two-theta), in order of rising 2θ:
- 2θ = 18.44°, I 27
- 2θ = 20.59°, I 100
- 2θ = 25.91°, I 28
- 2θ = 26.06°, I 49
- 2θ = 32.15°, I 22
- 2θ = 37.26°, I 24


Record 3
Diffraction record for KCuAg2C4N4. The PXRD pattern is theoretical, not measured: it uses a crystal structure in OQMD, relaxed with PBE and a wavelength of 1.5418 Å.
Intensities are scaled so that the largest is 100.

Atomic structure:
```
data_KCuAg2C4N4
_symmetry_space_group_name_H-M 'P 1'
_symmetry_Int_Tables_number 1
_cell_length_a 8.113
_cell_length_b 7.012
_cell_length_c 7.375
_cell_angle_alpha 90.00
_cell_angle_beta 101.63
_cell_angle_gamma 90.00
loop_
_symmetry_equiv_pos_as_xyz
'x,y,z'
loop_
_atom_site_label
_atom_site_fract_x
_atom_site_fract_y
_atom_site_fract_z
_atom_site_occupancy
K1 0.000 0.247 0.250 1
K2 0.000 0.753 0.750 1
Cu1 0.000 0.256 0.750 1
Cu2 0.000 0.744 0.250 1
Ag1 0.500 0.000 0.000 1
Ag2 0.500 0.000 0.500 1
Ag3 0.500 0.433 0.250 1
Ag4 0.500 0.567 0.750 1
C1 0.283 0.074 0.585 1
C2 0.283 0.926 0.085 1
C3 0.285 0.420 0.049 1
C4 0.285 0.580 0.549 1
C5 0.715 0.420 0.451 1
C6 0.715 0.580 0.951 1
C7 0.717 0.074 0.915 1
C8 0.717 0.926 0.415 1
N1 0.159 0.118 0.633 1
N2 0.159 0.882 0.133 1
N3 0.161 0.396 0.938 1
N4 0.161 0.604 0.438 1
N5 0.839 0.396 0.562 1
N6 0.839 0.604 0.062 1
N7 0.841 0.118 0.867 1
N8 0.841 0.882 0.367 1
```

The 6 most intense peaks (10 to 90 degrees two-theta), in order of rising 2θ:
- 2θ = 11.13°, I 25
- 2θ = 22.38°, I 48
- 2θ = 27.80°, I 100
- 2θ = 28.05°, I 26
- 2θ = 31.88°, I 37
- 2θ = 32.56°, I 36


Record 4
Diffraction record for DyAgH2C2SO9. The PXRD pattern is theoretical, not measured: it uses a crystal structure in OQMD, relaxed with PBE and a wavelength of 1.5418 Å.
Intensities are scaled so that the largest is 100.

Atomic structure:
```
data_DyAgH2C2SO9
_symmetry_space_group_name_H-M 'P 1'
_symmetry_Int_Tables_number 1
_cell_length_a 7.585
_cell_length_b 7.585
_cell_length_c 8.940
_cell_angle_alpha 113.26
_cell_angle_beta 113.26
_cell_angle_gamma 53.49
loop_
_symmetry_equiv_pos_as_xyz
'x,y,z'
loop_
_atom_site_label
_atom_site_fract_x
_atom_site_fract_y
_atom_site_fract_z
_atom_site_occupancy
Dy1 0.244 0.244 0.261 1
Dy2 0.756 0.756 0.739 1
Ag1 0.083 0.083 0.668 1
Ag2 0.917 0.917 0.332 1
H1 0.308 0.308 0.982 1
H2 0.421 0.421 0.148 1
H3 0.579 0.579 0.852 1
H4 0.692 0.692 0.018 1
C1 0.017 0.017 0.929 1
C2 0.390 0.610 0.500 1
C3 0.610 0.390 0.500 1
C4 0.983 0.983 0.071 1
S1 0.331 0.331 0.707 1
S2 0.669 0.669 0.293 1
O1 0.058 0.058 0.219 1
O2 0.119 0.119 0.970 1
O3 0.130 0.479 0.785 1
O4 0.216 0.602 0.412 1
O5 0.258 0.258 0.525 1
O6 0.339 0.339 0.103 1
O7 0.398 0.784 0.588 1
O8 0.447 0.447 0.743 1
O9 0.479 0.130 0.785 1
O10 0.521 0.870 0.215 1
O11 0.553 0.553 0.257 1
O12 0.602 0.216 0.412 1
O13 0.661 0.661 0.897 1
O14 0.742 0.742 0.475 1
O15 0.784 0.398 0.588 1
O16 0.870 0.521 0.215 1
O17 0.881 0.881 0.030 1
O18 0.942 0.942 0.781 1
```

The 6 most intense peaks (10 to 90 degrees two-theta), in order of rising 2θ:
- 2θ = 20.44°, I 90
- 2θ = 22.17°, I 63
- 2θ = 23.66°, I 93
- 2θ = 26.11°, I 100
- 2θ = 31.66°, I 61
- 2θ = 39.76°, I 43


Record 5
Diffraction record for AgSbC6N4O2F6. The PXRD pattern is theoretical, not measured: it uses a crystal structure in OQMD, relaxed with PBE and a wavelength of 1.5418 Å.
Intensities are scaled so that the largest is 100.

Atomic structure:
```
data_AgSbC6N4O2F6
_symmetry_space_group_name_H-M 'P 1'
_symmetry_Int_Tables_number 1
_cell_length_a 7.362
_cell_length_b 7.362
_cell_length_c 10.118
_cell_angle_alpha 90.22
_cell_angle_beta 90.22
_cell_angle_gamma 81.48
loop_
_symmetry_equiv_pos_as_xyz
'x,y,z'
loop_
_atom_site_label
_atom_site_fract_x
_atom_site_fract_y
_atom_site_fract_z
_atom_site_occupancy
Ag1 0.210 0.790 0.750 1
Ag2 0.790 0.210 0.250 1
Sb1 0.201 0.799 0.250 1
Sb2 0.799 0.201 0.750 1
C1 0.131 0.298 0.444 1
C2 0.274 0.454 0.964 1
C3 0.281 0.321 0.532 1
C4 0.298 0.131 0.944 1
C5 0.321 0.281 0.032 1
C6 0.454 0.274 0.464 1
C7 0.546 0.726 0.536 1
C8 0.679 0.719 0.968 1
C9 0.702 0.869 0.056 1
C10 0.719 0.679 0.468 1
C11 0.726 0.546 0.036 1
C12 0.869 0.702 0.556 1
N1 0.025 0.275 0.362 1
N2 0.240 0.589 0.904 1
N3 0.275 0.025 0.862 1
N4 0.411 0.760 0.596 1
N5 0.589 0.240 0.404 1
N6 0.725 0.975 0.138 1
N7 0.760 0.411 0.096 1
N8 0.975 0.725 0.638 1
O1 0.266 0.373 0.646 1
O2 0.373 0.266 0.146 1
O3 0.627 0.734 0.854 1
O4 0.734 0.627 0.354 1
F1 0.002 0.881 0.366 1
F2 0.054 0.648 0.156 1
F3 0.119 0.998 0.134 1
F4 0.280 0.595 0.365 1
F5 0.352 0.946 0.344 1
F6 0.405 0.720 0.135 1
F7 0.595 0.280 0.865 1
F8 0.648 0.054 0.656 1
F9 0.720 0.405 0.635 1
F10 0.881 0.002 0.866 1
F11 0.946 0.352 0.844 1
F12 0.998 0.119 0.634 1
```

The 6 most intense peaks (10 to 90 degrees two-theta), in order of rising 2θ:
- 2θ = 15.89°, I 100
- 2θ = 17.53°, I 66
- 2θ = 23.68°, I 63
- 2θ = 24.45°, I 86
- 2θ = 25.57°, I 78
- 2θ = 34.07°, I 56


Record 6
Diffraction record for AgCSO3F3. The PXRD pattern is theoretical, not measured: it uses a crystal structure in OQMD, relaxed with PBE and a wavelength of 1.5418 Å.
Intensities are scaled so that the largest is 100.

Atomic structure:
```
data_AgCSO3F3
_symmetry_space_group_name_H-M 'P 1'
_symmetry_Int_Tables_number 1
_cell_length_a 11.009
_cell_length_b 11.009
_cell_length_c 11.009
_cell_angle_alpha 26.31
_cell_angle_beta 26.31
_cell_angle_gamma 26.31
loop_
_symmetry_equiv_pos_as_xyz
'x,y,z'
loop_
_atom_site_label
_atom_site_fract_x
_atom_site_fract_y
_atom_site_fract_z
_atom_site_occupancy
Ag1 0.165 0.165 0.165 1
Ag2 0.835 0.835 0.835 1
C1 0.380 0.380 0.380 1
C2 0.620 0.620 0.620 1
S1 0.437 0.437 0.437 1
S2 0.563 0.563 0.563 1
O1 0.161 0.728 0.456 1
O2 0.272 0.544 0.839 1
O3 0.456 0.161 0.728 1
O4 0.544 0.839 0.272 1
O5 0.728 0.456 0.161 1
O6 0.839 0.272 0.544 1
F1 0.130 0.333 0.635 1
F2 0.333 0.635 0.130 1
F3 0.365 0.870 0.667 1
F4 0.635 0.130 0.333 1
F5 0.667 0.365 0.870 1
F6 0.870 0.667 0.365 1
```

The 6 most intense peaks (10 to 90 degrees two-theta), in order of rising 2θ:
- 2θ = 16.69°, I 57
- 2θ = 23.34°, I 82
- 2θ = 24.82°, I 78
- 2θ = 36.86°, I 100
- 2θ = 39.78°, I 69
- 2θ = 50.05°, I 47


Record 7
Diffraction record for AgCS2O6F3. The PXRD pattern is theoretical, not measured: it uses a crystal structure in OQMD, relaxed with PBE and a wavelength of 1.5418 Å.
Intensities are scaled so that the largest is 100.

Atomic structure:
```
data_AgCS2O6F3
_symmetry_space_group_name_H-M 'P 1'
_symmetry_Int_Tables_number 1
_cell_length_a 4.938
_cell_length_b 24.452
_cell_length_c 5.331
_cell_angle_alpha 90.00
_cell_angle_beta 100.47
_cell_angle_gamma 90.00
loop_
_symmetry_equiv_pos_as_xyz
'x,y,z'
loop_
_atom_site_label
_atom_site_fract_x
_atom_site_fract_y
_atom_site_fract_z
_atom_site_occupancy
Ag1 0.198 0.188 0.383 1
Ag2 0.198 0.312 0.883 1
Ag3 0.802 0.688 0.117 1
Ag4 0.802 0.812 0.617 1
C1 0.259 0.545 0.793 1
C2 0.259 0.955 0.293 1
C3 0.741 0.045 0.707 1
C4 0.741 0.455 0.207 1
S1 0.037 0.605 0.694 1
S2 0.037 0.895 0.194 1
S3 0.356 0.695 0.527 1
S4 0.356 0.805 0.027 1
S5 0.644 0.195 0.973 1
S6 0.644 0.305 0.473 1
S7 0.963 0.105 0.806 1
S8 0.963 0.395 0.306 1
O1 0.064 0.101 0.075 1
O2 0.064 0.399 0.575 1
O3 0.115 0.730 0.454 1
O4 0.115 0.770 0.954 1
O5 0.147 0.108 0.626 1
O6 0.147 0.392 0.126 1
O7 0.255 0.652 0.762 1
O8 0.255 0.848 0.262 1
O9 0.413 0.221 0.808 1
O10 0.413 0.279 0.308 1
O11 0.418 0.658 0.334 1
O12 0.418 0.842 0.834 1
O13 0.582 0.158 0.166 1
O14 0.582 0.342 0.666 1
O15 0.587 0.721 0.692 1
O16 0.587 0.779 0.192 1
O17 0.745 0.152 0.738 1
O18 0.745 0.348 0.238 1
O19 0.853 0.608 0.874 1
O20 0.853 0.892 0.374 1
O21 0.885 0.230 0.046 1
O22 0.885 0.270 0.546 1
O23 0.936 0.601 0.425 1
O24 0.936 0.899 0.925 1
F1 0.095 0.501 0.775 1
F2 0.095 0.999 0.275 1
F3 0.387 0.552 0.036 1
F4 0.387 0.948 0.536 1
F5 0.442 0.539 0.638 1
F6 0.442 0.961 0.138 1
F7 0.558 0.039 0.862 1
F8 0.558 0.461 0.362 1
F9 0.613 0.052 0.464 1
F10 0.613 0.448 0.964 1
F11 0.905 0.001 0.725 1
F12 0.905 0.499 0.225 1
```

The 6 most intense peaks (10 to 90 degrees two-theta), in order of rising 2θ:
- 2θ = 22.34°, I 63
- 2θ = 26.94°, I 100
- 2θ = 28.19°, I 28
- 2θ = 29.37°, I 28
- 2θ = 31.60°, I 57
- 2θ = 32.90°, I 51